Diffraction record for TbEr5Tm3. The X-ray powder pattern is computed, not measured: it uses a cell relaxed with PBE and CuKα.

Peak list (6 most intense, 15 to 90 degrees two-theta, low angle first)
2θ (°)  I (rel.)
29.90  59
31.16  100
31.42  60
33.59  65
39.73  33
59.24  32

Atomic structure:
Cell lengths 10.3158, 10.3158, 10.3158 Å; angles 139.52, 68.21, 127.63 degrees
Element x y z (fractional)
1 Tb 0.2999 0.0499 0.2500
2 Tb 0.7001 0.9501 0.7500
3 Er 0.1561 0.3173 0.3346
4 Er 0.1561 0.8215 0.8388
5 Er 0.3368 0.5868 0.7500
6 Er 0.4827 0.3173 0.6612
7 Er 0.4827 0.8215 0.1654
8 Er 0.5173 0.1785 0.8346
9 Er 0.5173 0.6827 0.3388
10 Er 0.6632 0.4132 0.2500
11 Er 0.8439 0.1785 0.1612
12 Er 0.8439 0.6827 0.6654
13 Tm 0.0000 0.0000 0.5000
14 Tm 0.0000 0.5000 0.0000
15 Tm 0.1831 0.7485 0.4346
16 Tm 0.1862 0.2515 0.9346
17 Tm 0.8138 0.7485 0.0654
18 Tm 0.8169 0.2515 0.5654